Starting from a PBE-relaxed structure, the powder diffractogram of PmNp2N3 was calculated for Cu Kα X-rays.
Intensities are scaled so that the largest is 100.

Most intense lines, 15° ≤ 2θ ≤ 90°, sorted by position:
| d/Å | 2theta | Rel. int. |
| --- | --- | --- |
| 2.865 | 31.2 | 100 |
| 2.852 | 31.4 | 98 |
| 2.489 | 36.1 | 45 |
| 2.469 | 36.4 | 87 |
| 1.753 | 52.2 | 78 |
| 1.740 | 52.6 | 15 |
| 1.499 | 61.9 | 31 |
| 1.493 | 62.2 | 30 |
| 1.487 | 62.5 | 30 |
| 1.433 | 65.1 | 16 |
| 1.426 | 65.5 | 16 |
| 1.111 | 87.9 | 15 |

Atomic structure:
```
data_PmNp2N3
_cell_length_a 3.480
_cell_length_b 4.977
_cell_length_c 10.511
_cell_angle_alpha 90.00
_cell_angle_beta 90.00
_cell_angle_gamma 90.00
_space_group_name_H-M_alt 'I m m m'
_space_group_IT_number 71
_space_group_name_Hall '-I 2 2'
loop_
_atom_site_label
_atom_site_type_symbol
_atom_site_fract_x
_atom_site_fract_y
_atom_site_fract_z
Pm1 Pm 0.000 0.000 0.000
Np1 Np 0.000 0.000 0.335
N1 N 0.000 0.500 0.000
N2 N 0.000 0.500 0.318
```

=====

Starting from a PBE-relaxed structure, the powder diffractogram of Pm2NpSbN5 was calculated for Cu Kα X-rays.
Intensities are scaled so that the largest is 100.

Most intense lines, 15° ≤ 2θ ≤ 90°, sorted by position:
| d/Å | 2theta | Rel. int. |
| --- | --- | --- |
| 3.188 | 28.0 | 47 |
| 2.966 | 30.1 | 100 |
| 2.873 | 31.1 | 48 |
| 2.823 | 31.7 | 74 |
| 2.729 | 32.8 | 41 |
| 2.673 | 33.5 | 35 |
| 2.462 | 36.5 | 83 |
| 2.320 | 38.8 | 34 |
| 2.046 | 44.3 | 30 |
| 1.941 | 46.8 | 31 |
| 1.704 | 53.8 | 35 |
| 1.673 | 54.9 | 41 |

Atomic structure:
```
data_Pm2NpSbN5
_cell_length_a 3.508
_cell_length_b 14.262
_cell_length_c 10.691
_cell_angle_alpha 90.00
_cell_angle_beta 90.00
_cell_angle_gamma 90.00
_space_group_name_H-M_alt 'C m c 21'
_space_group_IT_number 36
_space_group_name_Hall 'C 2c -2'
loop_
_atom_site_label
_atom_site_type_symbol
_atom_site_fract_x
_atom_site_fract_y
_atom_site_fract_z
Pm1 Pm 0.000 0.115 0.000
Pm2 Pm 0.000 0.138 0.585
Np1 Np 0.000 0.217 0.306
Sb1 Sb 0.000 0.486 0.770
N1 N 0.000 0.053 0.361
N2 N 0.000 0.282 0.942
N3 N 0.000 0.304 0.673
N4 N 0.000 0.371 0.310
N5 N 0.000 0.495 0.081
```

=====

Starting from a PBE-relaxed structure, the powder diffractogram of PrNp2N6 was calculated for Cu Kα X-rays.
Intensities are scaled so that the largest is 100.

Most intense lines, 15° ≤ 2θ ≤ 90°, sorted by position:
| d/Å | 2theta | Rel. int. |
| --- | --- | --- |
| 4.792 | 18.5 | 30 |
| 3.470 | 25.7 | 100 |
| 2.905 | 30.8 | 71 |
| 2.484 | 36.2 | 29 |
| 2.396 | 37.5 | 13 |
| 2.228 | 40.5 | 29 |
| 1.848 | 49.3 | 50 |
| 1.768 | 51.7 | 30 |
| 1.677 | 54.7 | 20 |
| 1.374 | 68.3 | 15 |
| 1.340 | 70.2 | 12 |
| 1.242 | 76.7 | 13 |

Atomic structure:
```
data_PrNp2N6
_cell_length_a 5.8103
_cell_length_b 5.8103
_cell_length_c 4.7921
_cell_angle_alpha 90.00
_cell_angle_beta 90.00
_cell_angle_gamma 120.00
_space_group_name_H-M_alt 'P -3 1 m'
_space_group_IT_number 162
_space_group_name_Hall '-P 3 2'
loop_
_atom_site_label
_atom_site_type_symbol
_atom_site_fract_x
_atom_site_fract_y
_atom_site_fract_z
Pr1 Pr 0.0000 0.0000 0.0000
Np1 Np 0.3333 0.6667 0.5000
N1 N 0.0000 0.3668 0.2949
```

=====

Starting from a PBE-relaxed structure, the powder diffractogram of Pr2NpTiN5 was calculated for Cu Kα X-rays.
Intensities are scaled so that the largest is 100.

Most intense lines, 15° ≤ 2θ ≤ 90°, sorted by position:
| d/Å | 2theta | Rel. int. |
| --- | --- | --- |
| 4.222 | 21.0 | 36 |
| 3.327 | 26.8 | 31 |
| 3.235 | 27.6 | 32 |
| 3.150 | 28.3 | 61 |
| 2.922 | 30.6 | 64 |
| 2.803 | 31.9 | 54 |
| 2.709 | 33.1 | 40 |
| 2.447 | 36.7 | 100 |
| 2.282 | 39.5 | 33 |
| 2.023 | 44.8 | 51 |
| 1.688 | 54.4 | 37 |
| 1.652 | 55.6 | 28 |

Atomic structure:
```
data_Pr2NpTiN5
_cell_length_a 3.502
_cell_length_b 14.022
_cell_length_c 10.577
_cell_angle_alpha 90.00
_cell_angle_beta 90.00
_cell_angle_gamma 90.00
_space_group_name_H-M_alt 'C m c 21'
_space_group_IT_number 36
_space_group_name_Hall 'C 2c -2'
loop_
_atom_site_label
_atom_site_type_symbol
_atom_site_fract_x
_atom_site_fract_y
_atom_site_fract_z
Pr1 Pr 0.000 0.107 0.000
Pr2 Pr 0.000 0.135 0.602
Np1 Np 0.000 0.212 0.316
Ti1 Ti 0.000 0.486 0.772
N1 N 0.000 0.053 0.343
N2 N 0.000 0.281 0.948
N3 N 0.000 0.308 0.691
N4 N 0.000 0.374 0.312
N5 N 0.000 0.495 0.095
```

=====

Starting from a PBE-relaxed structure, the powder diffractogram of Pu3Np2N8 was calculated for Cu Kα X-rays.
Intensities are scaled so that the largest is 100.

Most intense lines, 15° ≤ 2θ ≤ 90°, sorted by position:
| d/Å | 2theta | Rel. int. |
| --- | --- | --- |
| 3.351 | 26.6 | 63 |
| 3.225 | 27.7 | 24 |
| 3.072 | 29.1 | 61 |
| 2.792 | 32.1 | 49 |
| 2.764 | 32.4 | 100 |
| 2.709 | 33.1 | 26 |
| 2.497 | 36.0 | 50 |
| 2.234 | 40.4 | 33 |
| 2.095 | 43.2 | 24 |
| 1.964 | 46.2 | 97 |
| 1.839 | 49.6 | 25 |
| 1.411 | 66.2 | 23 |

Atomic structure:
```
data_Pu3Np2N8
_cell_length_a 8.379
_cell_length_b 11.166
_cell_length_c 3.678
_cell_angle_alpha 90.00
_cell_angle_beta 90.00
_cell_angle_gamma 90.00
_space_group_name_H-M_alt 'C m m m'
_space_group_IT_number 65
_space_group_name_Hall '-C 2 2'
loop_
_atom_site_label
_atom_site_type_symbol
_atom_site_fract_x
_atom_site_fract_y
_atom_site_fract_z
Pu1 Pu 0.000 0.000 0.000
Pu2 Pu 0.208 0.500 0.500
Np1 Np 0.000 0.274 0.000
N1 N 0.000 0.123 0.500
N2 N 0.000 0.378 0.500
N3 N 0.231 0.379 0.000
```

=====

Starting from a PBE-relaxed structure, the powder diffractogram of Pu3NpN7 was calculated for Cu Kα X-rays.
Intensities are scaled so that the largest is 100.

Most intense lines, 15° ≤ 2θ ≤ 90°, sorted by position:
| d/Å | 2theta | Rel. int. |
| --- | --- | --- |
| 3.049 | 29.3 | 100 |
| 3.038 | 29.4 | 99 |
| 2.635 | 34.0 | 83 |
| 1.868 | 48.8 | 15 |
| 1.864 | 48.9 | 56 |
| 1.858 | 49.0 | 14 |
| 1.591 | 58.0 | 59 |
| 1.586 | 58.2 | 29 |
| 1.524 | 60.8 | 11 |
| 1.211 | 79.1 | 18 |
| 1.208 | 79.3 | 11 |
| 1.180 | 81.6 | 14 |

Atomic structure:
```
data_Pu3NpN7
_cell_length_a 7.430
_cell_length_b 10.553
_cell_length_c 7.471
_cell_angle_alpha 90.00
_cell_angle_beta 90.00
_cell_angle_gamma 90.00
_space_group_name_H-M_alt 'C m c m'
_space_group_IT_number 63
_space_group_name_Hall '-C 2c 2'
loop_
_atom_site_label
_atom_site_type_symbol
_atom_site_fract_x
_atom_site_fract_y
_atom_site_fract_z
Pu1 Pu 0.000 0.000 0.000
Pu2 Pu 0.236 0.262 0.250
Np1 Np 0.000 0.500 0.000
N1 N 0.000 0.133 0.750
N2 N 0.000 0.140 0.250
N3 N 0.000 0.410 0.250
N4 N 0.216 0.374 0.525
```